Structure and simulated powder diffraction line list of SmGa3Co (a GGA-PBE-relaxed structure; a wavelength of 1.5418 Å).
Intensities are scaled so that the largest is 100.

Structural model:
Cell: 4.5577 4.5577 4.5577 Å, 90.00 90.00 90.00°
Fractional positions:
Sm (0.0000, 0.0000, 0.0000)
Ga (0.0000, 0.5000, 0.5000)
Ga (0.5000, 0.0000, 0.5000)
Ga (0.5000, 0.5000, 0.0000)
Co (0.5000, 0.5000, 0.5000)

Top 10 peaks for 2θ from 15° to 90°, in order of falling intensity:
index	two_theta	d [Å]	I/Imax
1 1 1	34.1	2.631	100
2 0 0	39.5	2.279	98
2 2 0	57.2	1.611	65
1 1 0	27.7	3.223	52
3 1 1	68.2	1.374	39
2 1 1	49.0	1.861	22
2 2 2	71.7	1.316	21
3 2 1	78.5	1.218	10
4 0 0	85.2	1.139	10
3 1 0	64.7	1.441	9